This entry pairs a crystal structure of CsIn6Hg2 with its calculated X-ray diffraction stick pattern. Radiation: λ = 1.5418 Å (Cu Kα). Structure: a crystal structure in Alexandria, relaxed with PBE.

Crystal structure
```
data_CsIn6Hg2
_space_group_name_H-M_alt 'P 1'
_space_group_IT_number 1
_cell_length_a 5.134
_cell_length_b 5.134
_cell_length_c 10.702
_cell_angle_alpha 90.00
_cell_angle_beta 90.00
_cell_angle_gamma 90.00
loop_
_space_group_symop_operation_xyz
'x,y,z'
loop_
_atom_site_label
_atom_site_fract_x
_atom_site_fract_y
_atom_site_fract_z
Cs1 0.000 0.000 0.000
In1 0.000 0.000 0.500
In2 0.000 0.500 0.312
In3 0.000 0.500 0.688
In4 0.500 0.000 0.312
In5 0.500 0.000 0.688
In6 0.500 0.500 0.500
Hg1 0.500 0.500 0.143
Hg2 0.500 0.500 0.857
```

Top 10 peaks for 10° ≤ 2θ ≤ 90°, low angle first:
hkl 1 0 0, 17.27°, 5.134 Å, I = 25
hkl 1 1 1, 25.92°, 3.438 Å, I = 28
hkl 1 1 2, 29.74°, 3.004 Å, I = 72
hkl 1 0 3, 30.51°, 2.930 Å, I = 44
hkl 2 0 0, 34.95°, 2.567 Å, I = 96
hkl 1 1 3, 35.27°, 2.544 Å, I = 100
hkl 1 0 4, 37.92°, 2.373 Å, I = 24
hkl 2 1 3, 47.07°, 1.931 Å, I = 27
hkl 2 2 0, 50.27°, 1.815 Å, I = 34
hkl 3 1 3, 62.89°, 1.478 Å, I = 36